This entry pairs a crystal structure of CdNiSe2O8 with its calculated X-ray powder pattern. Radiation: λ = 1.5418 Å (Cu Kα). Structure: a DFT-relaxed cell (PBE+U, Alexandria).

Largest 12 diffraction maxima, most intense first, 15° ≤ 2θ ≤ 90°:
24.59°, I 100
34.18°, I 58
49.77°, I 54
35.05°, I 19
62.32°, I 17
50.41°, I 15
56.87°, I 12
73.55°, I 12
84.16°, I 11
87.88°, I 10
66.44°, I 10
72.00°, I 9

Atomic structure:
```
data_CdNiSe2O8
_chemical_formula_sum 'Cd1 Ni1 Se2 O8'
_cell_length_a 5.962
_cell_length_b 5.962
_cell_length_c 5.962
_cell_angle_alpha 105.21
_cell_angle_beta 105.21
_cell_angle_gamma 118.37
_space_group_name_H-M_alt 'P 1'
_space_group_IT_number 1
_space_group_name_Hall 'P 1'
loop_
_atom_site_label
_atom_site_fract_x
_atom_site_fract_y
_atom_site_fract_z
Cd1 0.000 0.000 0.000
Ni1 0.750 0.250 0.500
Se1 0.250 0.750 0.500
Se2 0.500 0.500 0.000
O1 0.069 0.394 0.325
O2 0.069 0.744 0.675
O3 0.147 0.328 0.818
O4 0.256 0.931 0.325
O5 0.510 0.328 0.182
O6 0.606 0.931 0.675
O7 0.672 0.490 0.818
O8 0.672 0.853 0.182
```